Record 1
Structure and calculated X-ray diffraction stick pattern of DyTe3 (DFT lattice parameters and positions (GGA-PBE); λ = 1.5418 Å (Cu Kα)).
Intensities are scaled so that the largest is 100.

Top 10 peaks for 15° ≤ 2θ ≤ 90°, by intensity:
- 37.05 deg, intensity 100
- 29.69 deg, intensity 93
- 25.06 deg, intensity 62
- 31.03 deg, intensity 33
- 39.04 deg, intensity 33
- 46.95 deg, intensity 23
- 45.26 deg, intensity 21
- 57.37 deg, intensity 20
- 61.27 deg, intensity 17
- 31.47 deg, intensity 17

Cell and atoms:
```
data_DyTe3
_space_group_name_H-M_alt 'C m c m'
_space_group_IT_number 63
_space_group_name_Hall '-C 2c 2'
_cell_length_a 4.007
_cell_length_b 28.425
_cell_length_c 4.615
_cell_angle_alpha 90.00
_cell_angle_beta 90.00
_cell_angle_gamma 90.00
loop_
_atom_site_label
_atom_site_type_symbol
_atom_site_fract_x
_atom_site_fract_y
_atom_site_fract_z
_atom_site_occupancy
Dy1 Dy 0.000 0.051 0.250 1
Te1 Te 0.000 0.163 0.250 1
Te2 Te 0.000 0.314 0.250 1
Te3 Te 0.000 0.448 0.250 1
```


Record 2
Structure and calculated X-ray diffraction stick pattern of RhWN3 (DFT lattice parameters and positions (GGA-PBE); λ = 1.5418 Å (Cu Kα)).
Intensities are scaled so that the largest is 100.

Top 10 peaks for 15° ≤ 2θ ≤ 90°, by intensity:
- 33.45 deg, intensity 100
- 35.90 deg, intensity 85
- 20.57 deg, intensity 80
- 23.26 deg, intensity 75
- 20.94 deg, intensity 71
- 24.70 deg, intensity 62
- 32.38 deg, intensity 58
- 32.75 deg, intensity 54
- 32.48 deg, intensity 52
- 36.56 deg, intensity 46

Cell and atoms:
```
data_RhWN3
_space_group_name_H-M_alt 'P -1'
_space_group_IT_number 2
_space_group_name_Hall '-P 1'
_cell_length_a 5.963
_cell_length_b 6.475
_cell_length_c 7.776
_cell_angle_alpha 76.30
_cell_angle_beta 81.17
_cell_angle_gamma 88.38
loop_
_atom_site_label
_atom_site_type_symbol
_atom_site_fract_x
_atom_site_fract_y
_atom_site_fract_z
_atom_site_occupancy
Rh1 Rh 0.092 0.275 0.188 1
Rh2 Rh 0.272 0.652 0.984 1
W1 W 0.131 0.171 0.731 1
W2 W 0.324 0.485 0.380 1
N1 N 0.038 0.315 0.444 1
N2 N 0.078 0.255 0.938 1
N3 N 0.127 0.746 0.416 1
N4 N 0.210 0.889 0.782 1
N5 N 0.415 0.327 0.608 1
N6 N 0.426 0.415 0.156 1
```


Record 3
Structure and calculated X-ray diffraction stick pattern of Ti2N2O (DFT lattice parameters and positions (GGA-PBE); λ = 1.5418 Å (Cu Kα)).
Intensities are scaled so that the largest is 100.

Top 10 peaks for 15° ≤ 2θ ≤ 90°, by intensity:
- 32.63 deg, intensity 100
- 32.76 deg, intensity 32
- 22.93 deg, intensity 27
- 54.59 deg, intensity 26
- 54.75 deg, intensity 26
- 37.90 deg, intensity 18
- 44.72 deg, intensity 12
- 65.09 deg, intensity 12
- 48.84 deg, intensity 11
- 40.27 deg, intensity 7

Cell and atoms:
```
data_Ti2N2O
_space_group_name_H-M_alt 'P 1'
_space_group_IT_number 1
_space_group_name_Hall 'P 1'
_cell_length_a 8.202
_cell_length_b 8.229
_cell_length_c 8.232
_cell_angle_alpha 109.58
_cell_angle_beta 109.35
_cell_angle_gamma 109.37
loop_
_atom_site_label
_atom_site_type_symbol
_atom_site_fract_x
_atom_site_fract_y
_atom_site_fract_z
_atom_site_occupancy
Ti1 Ti 0.000 0.000 0.000 1
Ti2 Ti 0.003 0.500 0.492 1
Ti3 Ti 0.053 0.828 0.283 1
Ti4 Ti 0.216 0.541 0.237 1
Ti5 Ti 0.261 0.284 0.532 1
Ti6 Ti 0.265 0.789 0.033 1
Ti7 Ti 0.292 0.036 0.835 1
Ti8 Ti 0.467 0.744 0.794 1
Ti9 Ti 0.499 0.575 0.077 1
Ti10 Ti 0.513 0.083 0.577 1
Ti11 Ti 0.537 0.322 0.272 1
Ti12 Ti 0.699 0.529 0.740 1
Ti13 Ti 0.739 0.788 0.536 1
Ti14 Ti 0.763 0.301 0.051 1
Ti15 Ti 0.797 0.042 0.327 1
Ti16 Ti 0.958 0.255 0.797 1
N1 N 0.019 0.061 0.263 1
N2 N 0.203 0.746 0.759 1
N3 N 0.214 0.512 0.984 1
N4 N 0.290 0.062 0.084 1
N5 N 0.300 0.829 0.309 1
N6 N 0.476 0.276 0.486 1
N7 N 0.481 0.558 0.315 1
N8 N 0.486 0.511 0.806 1
N9 N 0.515 0.325 0.023 1
N10 N 0.531 0.839 0.075 1
N11 N 0.706 0.013 0.528 1
N12 N 0.713 0.799 0.769 1
N13 N 0.746 0.239 0.262 1
N14 N 0.765 0.341 0.812 1
N15 N 0.978 0.567 0.276 1
N16 N 0.986 0.246 0.042 1
O1 O 0.028 0.299 0.585 1
O2 O 0.030 0.018 0.757 1
O3 O 0.243 0.056 0.578 1
O4 O 0.256 0.513 0.492 1
O5 O 0.520 0.011 0.794 1
O6 O 0.795 0.780 0.303 1
O7 O 0.802 0.562 0.543 1
O8 O 0.974 0.736 0.998 1
```